For PuNpN4, a PBE-relaxed structure gives the computed PXRD pattern in this record (Cu Kα).

The 8 most intense peaks (10° ≤ 2θ ≤ 90°), in order of rising 2θ:
2θ/deg	d_spacing	intensity	(hkl)
29.6	3.017	100	1 0 1
34.3	2.612	40	1 1 0
49.3	1.847	46	2 0 0
58.6	1.575	46	2 1 1
61.5	1.508	11	2 0 2
72.3	1.306	7	2 2 0
80.1	1.199	19	3 0 1
82.6	1.168	15	3 1 0

Crystal structure
Unit cell a=3.694 b=3.694 c=5.227 alpha=90.00 beta=90.00 gamma=90.00
Atoms (fractional coordinates):
Pu (0.000, 0.000, 0.000)
Np (0.500, 0.500, 0.500)
N (0.000, 0.500, 0.255)
N (0.000, 0.500, 0.745)
N (0.500, 0.000, 0.255)
N (0.500, 0.000, 0.745)